[1]
For CaSn2P2O10, the PBE geometry in Alexandria gives the calculated XRD peak list in this record (Cu Kα).
Intensities are scaled so that the largest is 100.

Structure:
a b c (Å): 10.2286 9.1316 7.0818
angles (deg): 77.08 60.48 42.44
Fractional coordinates of all 30 atoms:
Ca: 0.1250 0.1250 0.1250
Ca: 0.8750 0.8750 0.8750
Sn: 0.0000 0.5000 0.5000
Sn: 0.5000 0.0000 0.5000
Sn: 0.5000 0.5000 0.0000
Sn: 0.5000 0.5000 0.5000
P: 0.0800 0.0800 0.6700
P: 0.3300 0.3300 0.9200
P: 0.6700 0.6700 0.0800
P: 0.9200 0.9200 0.3300
O: 0.0544 0.2164 0.4866
O: 0.1225 0.4236 0.1478
O: 0.1478 0.8061 0.1225
O: 0.1939 0.8522 0.5764
O: 0.2164 0.0544 0.7426
O: 0.2574 0.5134 0.7836
O: 0.2977 0.2977 0.4523
O: 0.4236 0.1225 0.8061
O: 0.4523 0.4523 0.2977
O: 0.4866 0.7426 0.0544
O: 0.5134 0.2574 0.9456
O: 0.5477 0.5477 0.7023
O: 0.5764 0.8775 0.1939
O: 0.7023 0.7023 0.5477
O: 0.7426 0.4866 0.2164
O: 0.7836 0.9456 0.2574
O: 0.8061 0.1478 0.4236
O: 0.8522 0.1939 0.8775
O: 0.8775 0.5764 0.8522
O: 0.9456 0.7836 0.5134

Largest 6 diffraction maxima, by intensity, 2θ from 10° to 80°:
2θ (°)	I_rel
29.86	100
30.31	73
25.81	68
14.80	63
30.03	47
21.20	43

***

[2]
For Cs3TlPb2I9, the PBE geometry in Alexandria gives the calculated XRD peak list in this record (Cu Kα).
Intensities are scaled so that the largest is 100.

Structure:
a b c (Å): 8.9846 8.9846 11.0401
angles (deg): 90.00 90.00 120.00
Fractional coordinates of all 15 atoms:
Cs: 0.0000 0.0000 0.0000
Cs: 0.3333 0.6667 0.6783
Cs: 0.6667 0.3333 0.3217
Tl: 0.0000 0.0000 0.5000
Pb: 0.3333 0.6667 0.1715
Pb: 0.6667 0.3333 0.8285
I: 0.0000 0.5000 0.0000
I: 0.1658 0.3316 0.3290
I: 0.1658 0.8342 0.3290
I: 0.3316 0.1658 0.6710
I: 0.5000 0.0000 0.0000
I: 0.5000 0.5000 0.0000
I: 0.6684 0.8342 0.3290
I: 0.8342 0.1658 0.6710
I: 0.8342 0.6684 0.6710

Largest 6 diffraction maxima, by intensity, 2θ from 10° to 80°:
2θ (°)	I_rel
28.06	100
40.10	76
13.92	39
19.74	39
24.24	36
31.45	23

***

[3]
For LiInI2, the PBE geometry in Alexandria gives the calculated XRD peak list in this record (Cu Kα).
Intensities are scaled so that the largest is 100.

Structure:
a b c (Å): 4.4631 4.4631 24.1194
angles (deg): 90.00 90.00 120.00
Fractional coordinates of all 12 atoms:
Li: 0.0000 0.0026 0.3333
Li: 0.0026 0.0000 0.6667
Li: 0.9974 0.9974 0.0000
In: 0.0000 0.9985 0.8333
In: 0.0015 0.0015 0.5000
In: 0.9985 0.0000 0.1667
I: 0.3305 0.6648 0.0686
I: 0.3343 0.6695 0.4019
I: 0.3352 0.6657 0.7352
I: 0.6648 0.3305 0.9314
I: 0.6657 0.3352 0.2648
I: 0.6695 0.3343 0.5981

Largest 6 diffraction maxima, by intensity, 2θ from 10° to 80°:
2θ (°)	I_rel
25.57	100
32.13	56
40.42	31
53.43	17
48.44	17
64.87	14

***

[4]
For Tl4S3Cl, the PBE geometry in Alexandria gives the calculated XRD peak list in this record (Cu Kα).
Intensities are scaled so that the largest is 100.

Structure:
a b c (Å): 5.9695 8.7561 9.5656
angles (deg): 90.00 90.00 90.00
Fractional coordinates of all 16 atoms:
Tl: 0.2500 0.0593 0.1401
Tl: 0.2500 0.2500 0.6981
Tl: 0.2500 0.4407 0.1401
Tl: 0.2500 0.7500 0.6081
Tl: 0.7500 0.2500 0.3919
Tl: 0.7500 0.5593 0.8599
Tl: 0.7500 0.7500 0.3019
Tl: 0.7500 0.9407 0.8599
S: 0.2500 0.2500 0.4354
S: 0.2500 0.5046 0.8257
S: 0.2500 0.9954 0.8257
S: 0.7500 0.0046 0.1743
S: 0.7500 0.4954 0.1743
S: 0.7500 0.7500 0.5646
Cl: 0.2500 0.7500 0.2676
Cl: 0.7500 0.2500 0.7324

Largest 6 diffraction maxima, by intensity, 2θ from 10° to 80°:
2θ (°)	I_rel
23.84	100
26.92	71
22.33	70
29.94	66
37.66	46
34.81	34

***

[5]
For Tb4Mg5Sn6, the PBE geometry in Alexandria gives the calculated XRD peak list in this record (Cu Kα).
Intensities are scaled so that the largest is 100.

Structure:
a b c (Å): 10.6161 10.6161 16.4386
angles (deg): 90.00 90.00 154.61
Fractional coordinates of all 30 atoms:
Tb: 0.0154 0.9846 0.5000
Tb: 0.0339 0.9661 0.7659
Tb: 0.1607 0.8393 0.3000
Tb: 0.1727 0.8273 0.9403
Tb: 0.8273 0.1727 0.4403
Tb: 0.8393 0.1607 0.8000
Tb: 0.9661 0.0339 0.2659
Tb: 0.9846 0.0154 0.0000
Mg: 0.1560 0.8440 0.6241
Mg: 0.3044 0.6956 0.6170
Mg: 0.3397 0.6603 0.2717
Mg: 0.3469 0.6531 0.9800
Mg: 0.4406 0.5594 0.6781
Mg: 0.5594 0.4406 0.1781
Mg: 0.6531 0.3469 0.4800
Mg: 0.6603 0.3397 0.7717
Mg: 0.6956 0.3044 0.1170
Mg: 0.8440 0.1560 0.1241
Sn: 0.1111 0.8889 0.1144
Sn: 0.2296 0.7704 0.4718
Sn: 0.2380 0.7620 0.7687
Sn: 0.4286 0.5714 0.4124
Sn: 0.4297 0.5703 0.1276
Sn: 0.4409 0.5591 0.8522
Sn: 0.5591 0.4409 0.3522
Sn: 0.5703 0.4297 0.6276
Sn: 0.5714 0.4286 0.9124
Sn: 0.7620 0.2380 0.2687
Sn: 0.7704 0.2296 0.9718
Sn: 0.8889 0.1111 0.6144

Largest 6 diffraction maxima, by intensity, 2θ from 10° to 80°:
2θ (°)	I_rel
33.22	100
29.30	82
38.59	50
62.26	31
27.71	28
28.82	28

***

[6]
For Ac5PrSn5, the PBE geometry in Alexandria gives the calculated XRD peak list in this record (Cu Kα).
Intensities are scaled so that the largest is 100.

Structure:
a b c (Å): 8.3667 8.3667 9.2338
angles (deg): 106.31 106.31 47.34
Fractional coordinates of all 11 atoms:
Ac: 0.0000 0.0000 0.0000
Ac: 0.3272 0.3272 0.1698
Ac: 0.3321 0.3321 0.6654
Ac: 0.6679 0.6679 0.3346
Ac: 0.6728 0.6728 0.8302
Pr: 0.0000 0.0000 0.5000
Sn: 0.1586 0.1586 0.3363
Sn: 0.1608 0.1608 0.8276
Sn: 0.5000 0.5000 0.5000
Sn: 0.8392 0.8392 0.1724
Sn: 0.8414 0.8414 0.6637

Largest 6 diffraction maxima, by intensity, 2θ from 10° to 80°:
2θ (°)	I_rel
26.54	100
26.70	50
37.89	40
38.00	40
46.09	23
47.81	21

***

[7]
For Sm2Ge3Pd9, the PBE geometry in Alexandria gives the calculated XRD peak list in this record (Cu Kα).
Intensities are scaled so that the largest is 100.

Structure:
a b c (Å): 7.8255 7.8255 10.1582
angles (deg): 112.61 112.61 59.85
Fractional coordinates of all 28 atoms:
Sm: 0.0857 0.2567 0.2491
Sm: 0.2567 0.0857 0.7491
Sm: 0.7433 0.9143 0.2509
Sm: 0.9143 0.7433 0.7509
Ge: 0.0000 0.5000 0.0000
Ge: 0.1510 0.6762 0.5001
Ge: 0.3238 0.8490 0.9999
Ge: 0.5000 0.0000 0.5000
Ge: 0.6762 0.1510 0.0001
Ge: 0.8490 0.3238 0.4999
Pd: 0.0171 0.8681 0.0798
Pd: 0.1319 0.9829 0.4202
Pd: 0.1852 0.3608 0.5747
Pd: 0.2128 0.5776 0.2531
Pd: 0.3102 0.4881 0.9529
Pd: 0.3608 0.1852 0.0747
Pd: 0.3685 0.6315 0.7500
Pd: 0.4224 0.7872 0.2469
Pd: 0.4881 0.3102 0.4529
Pd: 0.5119 0.6898 0.5471
Pd: 0.5776 0.2128 0.7531
Pd: 0.6315 0.3685 0.2500
Pd: 0.6392 0.8148 0.9253
Pd: 0.6898 0.5119 0.0471
Pd: 0.7872 0.4224 0.7469
Pd: 0.8148 0.6392 0.4253
Pd: 0.8681 0.0171 0.5798
Pd: 0.9829 0.1319 0.9202

Largest 6 diffraction maxima, by intensity, 2θ from 10° to 80°:
2θ (°)	I_rel
39.94	100
37.53	95
37.47	48
70.95	31
35.16	19
39.60	16

***

[8]
For LiCd2Rh2O6, the PBE geometry in Alexandria gives the calculated XRD peak list in this record (Cu Kα).
Intensities are scaled so that the largest is 100.

Structure:
a b c (Å): 5.4148 5.4148 5.6580
angles (deg): 97.91 97.91 121.99
Fractional coordinates of all 11 atoms:
Li: 0.0000 0.0000 0.0000
Cd: 0.1552 0.8448 0.5000
Cd: 0.8448 0.1552 0.5000
Rh: 0.3374 0.6626 0.0000
Rh: 0.6626 0.3374 0.0000
O: 0.0532 0.4270 0.2106
O: 0.2698 0.2698 0.8045
O: 0.4270 0.0532 0.2106
O: 0.5730 0.9468 0.7894
O: 0.7302 0.7302 0.1955
O: 0.9468 0.5730 0.7894

Largest 6 diffraction maxima, by intensity, 2θ from 10° to 80°:
2θ (°)	I_rel
39.75	100
22.46	96
35.10	62
41.44	46
18.74	46
28.98	45

***

[9]
For Pr2SmTl2Cd2, the PBE geometry in Alexandria gives the calculated XRD peak list in this record (Cu Kα).
Intensities are scaled so that the largest is 100.

Structure:
a b c (Å): 9.7908 9.7908 9.7908
angles (deg): 29.88 29.88 29.88
Fractional coordinates of all 7 atoms:
Pr: 0.1268 0.1268 0.1268
Pr: 0.8732 0.8732 0.8732
Sm: 0.0000 0.0000 0.0000
Tl: 0.2608 0.2608 0.2608
Tl: 0.7392 0.7392 0.7392
Cd: 0.3911 0.3911 0.3911
Cd: 0.6089 0.6089 0.6089

Largest 6 diffraction maxima, by intensity, 2θ from 10° to 80°:
2θ (°)	I_rel
35.57	100
32.75	96
30.26	38
49.12	31
62.10	30
61.75	27

***

[10]
For Sr2PrOsN4, the PBE geometry in Alexandria gives the calculated XRD peak list in this record (Cu Kα).
Intensities are scaled so that the largest is 100.

Structure:
a b c (Å): 6.2559 6.2559 12.7902
angles (deg): 90.00 90.00 146.87
Fractional coordinates of all 16 atoms:
Sr: 0.1329 0.8671 0.5359
Sr: 0.1329 0.8671 0.9641
Sr: 0.8671 0.1329 0.0359
Sr: 0.8671 0.1329 0.4641
Pr: 0.3910 0.6090 0.7500
Pr: 0.6090 0.3910 0.2500
Os: 0.3372 0.6628 0.2500
Os: 0.6628 0.3372 0.7500
N: 0.0893 0.9107 0.7500
N: 0.2243 0.7757 0.1455
N: 0.2243 0.7757 0.3545
N: 0.5000 0.5000 0.0000
N: 0.5000 0.5000 0.5000
N: 0.7757 0.2243 0.6455
N: 0.7757 0.2243 0.8545
N: 0.9107 0.0893 0.2500

Largest 6 diffraction maxima, by intensity, 2θ from 10° to 80°:
2θ (°)	I_rel
36.58	100
29.63	86
27.90	59
13.85	48
29.80	38
41.28	28

***

[11]
For Ac3Nd2Y6, the PBE geometry in Alexandria gives the calculated XRD peak list in this record (Cu Kα).
Intensities are scaled so that the largest is 100.

Structure:
a b c (Å): 6.4286 6.4286 11.8382
angles (deg): 95.21 95.21 120.06
Fractional coordinates of all 11 atoms:
Ac: 0.0000 0.0000 0.0000
Ac: 0.3350 0.6650 0.0000
Ac: 0.6650 0.3350 0.0000
Nd: 0.1665 0.8335 0.5000
Nd: 0.8335 0.1665 0.5000
Y: 0.0880 0.4191 0.2576
Y: 0.2501 0.2501 0.7427
Y: 0.4191 0.0880 0.2576
Y: 0.5809 0.9120 0.7424
Y: 0.7499 0.7499 0.2573
Y: 0.9120 0.5809 0.7424

Largest 6 diffraction maxima, by intensity, 2θ from 10° to 80°:
2θ (°)	I_rel
29.62	100
34.66	66
30.72	30
49.11	25
50.55	22
59.03	20